Record 1
For Cd3H2Ir, a PBE-relaxed structure gives the computed X-ray diffraction stick pattern in this record (a wavelength of 1.5418 Å).
Neutral-atom scattering factors, no anomalous dispersion.

The 10 most intense peaks (2θ = 10–80°), sorted by position:
hkl 2 0 0, 2θ = 19.68°, I = 85
hkl 0 1 1, 2θ = 20.81°, I = 45
hkl 1 1 2, 2θ = 33.79°, I = 89
hkl 3 1 -2, 2θ = 35.43°, I = 100
hkl 2 0 2, 2θ = 36.28°, I = 58
hkl 0 2 1, 2θ = 36.59°, I = 74
hkl 4 0 -2, 2θ = 38.61°, I = 89
hkl 1 2 1, 2θ = 39.12°, I = 47
hkl 4 0 0, 2θ = 39.97°, I = 70
hkl 3 2 -1, 2θ = 44.81°, I = 59

Structure:
```
data_Cd3H2Ir
_chemical_formula_sum 'Cd12 H8 Ir4'
_symmetry_space_group_name_H-M 'P 1 21/c 1'
_symmetry_Int_Tables_number 14
_cell_length_a 9.6625
_cell_length_b 5.2019
_cell_length_c 7.9881
_cell_angle_alpha 90.00
_cell_angle_beta 110.85
_cell_angle_gamma 90.00
loop_
_symmetry_equiv_pos_as_xyz
'x,y,z'
'-x,-y,-z'
'-x,y+1/2,-z+1/2'
'x,-y+1/2,z+1/2'
loop_
_atom_site_label
_atom_site_fract_x
_atom_site_fract_y
_atom_site_fract_z
Cd1 0.0378 0.1432 0.1694
Cd2 0.2461 0.6350 0.1647
Cd3 0.4220 0.1415 0.3389
H1 0.1318 0.1198 0.4519
H2 0.3670 0.6008 0.4870
Ir1 0.2362 0.1070 0.9816
```

=====

Record 2
For Cd3H9Ir2, a PBE-relaxed structure gives the computed X-ray diffraction stick pattern in this record (a wavelength of 1.5418 Å).
Neutral-atom scattering factors, no anomalous dispersion.

The 10 most intense peaks (2θ = 10–80°), sorted by position:
hkl 0 1 2, 2θ = 17.33°, I = 25
hkl 1 1 0, 2θ = 21.98°, I = 35
hkl 1 0 4, 2θ = 27.00°, I = 39
hkl 1 1 3, 2θ = 28.40°, I = 77
hkl 3 0 0, 2θ = 38.56°, I = 100
hkl 2 1 4, 2θ = 41.78°, I = 23
hkl 1 1 6, 2θ = 42.55°, I = 77
hkl 2 2 3, 2θ = 48.57°, I = 18
hkl 2 2 6, 2θ = 58.76°, I = 33
hkl 4 1 6, 2θ = 72.50°, I = 41

Structure:
```
data_Cd3H9Ir2
_chemical_formula_sum 'Cd18 H54 Ir12'
_symmetry_space_group_name_H-M 'R -3 c'
_symmetry_Int_Tables_number 167
_symmetry_space_group_name_Hall '-R 3 2"c'
_cell_length_a 8.0888
_cell_length_b 8.0888
_cell_length_c 14.9797
_cell_angle_alpha 90.00
_cell_angle_beta 90.00
_cell_angle_gamma 120.00
loop_
_atom_site_label
_atom_site_fract_x
_atom_site_fract_y
_atom_site_fract_z
Cd1 0.0000 0.3384 0.2500
H1 0.0000 0.1507 0.7500
H2 0.0119 0.1601 0.4172
Ir1 0.0000 0.0000 0.1550
```